Record 1
The following is a simulated X-ray diffraction stick pattern of H5Rh2. It was derived from a cell relaxed with GGA-PBE, using Cu Kα, 1.54184 Å.
Kinematic intensities with the Lorentz-polarization factor, no thermal factor.

Atomic structure:
```
data_H5Rh2
_chemical_formula_sum 'H10 Rh4'
_space_group_name_H-M_alt 'P 1'
_space_group_IT_number 1
_cell_length_a 5.914
_cell_length_b 5.914
_cell_length_c 4.250
_cell_angle_alpha 90.05
_cell_angle_beta 90.05
_cell_angle_gamma 42.46
loop_
_space_group_symop_operation_xyz
'x,y,z'
loop_
_atom_site_label
_atom_site_type_symbol
_atom_site_fract_x
_atom_site_fract_y
_atom_site_fract_z
_atom_site_occupancy
H1 H 0.043 0.154 0.943 1
H2 H 0.154 0.043 0.443 1
H3 H 0.249 0.751 0.750 1
H4 H 0.349 0.454 0.447 1
H5 H 0.454 0.349 0.947 1
H6 H 0.546 0.651 0.053 1
H7 H 0.651 0.546 0.553 1
H8 H 0.751 0.249 0.250 1
H9 H 0.846 0.957 0.557 1
H10 H 0.957 0.846 0.057 1
Rh1 Rh 0.089 0.589 0.751 1
Rh2 Rh 0.411 0.911 0.749 1
Rh3 Rh 0.589 0.089 0.251 1
Rh4 Rh 0.911 0.411 0.249 1
```

Largest 10 diffraction maxima, in order of rising 2θ, 10 to 90 degrees two-theta:
- 5.513 Å, 16.1 deg, I 41
- 2.910 Å, 30.7 deg, I 55
- 2.756 Å, 32.5 deg, I 17
- 2.332 Å, 38.6 deg, I 100
- 2.142 Å, 42.2 deg, I 19
- 2.125 Å, 42.5 deg, I 19
- 1.838 Å, 49.6 deg, I 12
- 1.509 Å, 61.5 deg, I 13
- 1.270 Å, 74.7 deg, I 14
- 1.263 Å, 75.2 deg, I 14

---

Record 2
The following is a simulated X-ray diffraction stick pattern of H6Rh. It was derived from a cell relaxed with GGA-PBE, using Cu Kα, 1.54184 Å.
Kinematic intensities with the Lorentz-polarization factor, no thermal factor.

Atomic structure:
```
data_H6Rh
_chemical_formula_sum 'H6 Rh1'
_space_group_name_H-M_alt 'P 1'
_space_group_IT_number 1
_cell_length_a 5.218
_cell_length_b 5.218
_cell_length_c 5.218
_cell_angle_alpha 141.55
_cell_angle_beta 140.28
_cell_angle_gamma 56.48
loop_
_space_group_symop_operation_xyz
'x,y,z'
loop_
_atom_site_label
_atom_site_type_symbol
_atom_site_fract_x
_atom_site_fract_y
_atom_site_fract_z
_atom_site_occupancy
H1 H 0.000 0.000 0.000 1
H2 H 0.197 0.819 0.377 1
H3 H 0.442 0.819 0.623 1
H4 H 0.500 0.500 0.000 1
H5 H 0.558 0.181 0.377 1
H6 H 0.803 0.181 0.623 1
Rh1 Rh 0.500 0.000 0.500 1
```

Largest 10 diffraction maxima, in order of rising 2θ, 10 to 90 degrees two-theta:
- 4.597 Å, 19.3 deg, I 100
- 3.308 Å, 27.0 deg, I 93
- 3.219 Å, 27.7 deg, I 88
- 2.467 Å, 36.4 deg, I 41
- 2.318 Å, 38.8 deg, I 31
- 2.287 Å, 39.4 deg, I 29
- 2.174 Å, 41.5 deg, I 50
- 1.682 Å, 54.6 deg, I 23
- 1.553 Å, 59.5 deg, I 19
- 1.525 Å, 60.7 deg, I 18

---

Record 3
The following is a simulated X-ray diffraction stick pattern of H8Rh3. It was derived from a cell relaxed with GGA-PBE, using Cu Kα, 1.54184 Å.
Kinematic intensities with the Lorentz-polarization factor, no thermal factor.

Atomic structure:
```
data_H8Rh3
_chemical_formula_sum 'H8 Rh3'
_space_group_name_H-M_alt 'P 1'
_space_group_IT_number 1
_cell_length_a 4.208
_cell_length_b 4.208
_cell_length_c 4.208
_cell_angle_alpha 90.00
_cell_angle_beta 90.00
_cell_angle_gamma 90.00
loop_
_space_group_symop_operation_xyz
'x,y,z'
loop_
_atom_site_label
_atom_site_type_symbol
_atom_site_fract_x
_atom_site_fract_y
_atom_site_fract_z
_atom_site_occupancy
H1 H 0.247 0.247 0.247 1
H2 H 0.247 0.247 0.753 1
H3 H 0.247 0.753 0.247 1
H4 H 0.247 0.753 0.753 1
H5 H 0.753 0.247 0.247 1
H6 H 0.753 0.247 0.753 1
H7 H 0.753 0.753 0.247 1
H8 H 0.753 0.753 0.753 1
Rh1 Rh 0.000 0.500 0.500 1
Rh2 Rh 0.500 0.000 0.500 1
Rh3 Rh 0.500 0.500 0.000 1
```

Largest 10 diffraction maxima, in order of rising 2θ, 10 to 90 degrees two-theta:
- 4.208 Å, 21.1 deg, I 36
- 2.975 Å, 30.0 deg, I 29
- 2.429 Å, 37.0 deg, I 100
- 2.104 Å, 43.0 deg, I 46
- 1.882 Å, 48.4 deg, I 15
- 1.718 Å, 53.3 deg, I 11
- 1.488 Å, 62.4 deg, I 33
- 1.403 Å, 66.7 deg, I 7
- 1.269 Å, 74.8 deg, I 37
- 1.215 Å, 78.8 deg, I 10

---

Record 4
The following is a simulated X-ray diffraction stick pattern of H5Rh2. It was derived from a cell relaxed with GGA-PBE, using Cu Kα, 1.54184 Å.
Kinematic intensities with the Lorentz-polarization factor, no thermal factor.

Atomic structure:
```
data_H5Rh2
_chemical_formula_sum 'H10 Rh4'
_space_group_name_H-M_alt 'P 1'
_space_group_IT_number 1
_cell_length_a 5.357
_cell_length_b 5.357
_cell_length_c 4.556
_cell_angle_alpha 97.96
_cell_angle_beta 97.96
_cell_angle_gamma 45.63
loop_
_space_group_symop_operation_xyz
'x,y,z'
loop_
_atom_site_label
_atom_site_type_symbol
_atom_site_fract_x
_atom_site_fract_y
_atom_site_fract_z
_atom_site_occupancy
H1 H 0.051 0.949 0.750 1
H2 H 0.176 0.264 0.339 1
H3 H 0.264 0.176 0.839 1
H4 H 0.296 0.547 0.066 1
H5 H 0.453 0.704 0.434 1
H6 H 0.547 0.296 0.566 1
H7 H 0.704 0.453 0.934 1
H8 H 0.736 0.824 0.161 1
H9 H 0.824 0.736 0.661 1
H10 H 0.949 0.051 0.250 1
Rh1 Rh 0.126 0.642 0.412 1
Rh2 Rh 0.358 0.874 0.088 1
Rh3 Rh 0.642 0.126 0.912 1
Rh4 Rh 0.874 0.358 0.588 1
```

Largest 10 diffraction maxima, in order of rising 2θ, 10 to 90 degrees two-theta:
- 2.834 Å, 31.6 deg, I 100
- 2.441 Å, 36.8 deg, I 33
- 2.350 Å, 38.3 deg, I 63
- 2.173 Å, 41.6 deg, I 22
- 2.078 Å, 43.6 deg, I 21
- 1.937 Å, 46.9 deg, I 12
- 1.582 Å, 58.3 deg, I 18
- 1.574 Å, 58.6 deg, I 14
- 1.502 Å, 61.8 deg, I 13
- 1.425 Å, 65.5 deg, I 15

---

Record 5
The following is a simulated X-ray diffraction stick pattern of HRh8. It was derived from a cell relaxed with GGA-PBE, using Cu Kα, 1.54184 Å.
Kinematic intensities with the Lorentz-polarization factor, no thermal factor.

Atomic structure:
```
data_HRh8
_chemical_formula_sum 'H1 Rh8'
_space_group_name_H-M_alt 'P 1'
_space_group_IT_number 1
_cell_length_a 5.486
_cell_length_b 5.486
_cell_length_c 4.463
_cell_angle_alpha 90.00
_cell_angle_beta 90.00
_cell_angle_gamma 120.00
loop_
_space_group_symop_operation_xyz
'x,y,z'
loop_
_atom_site_label
_atom_site_type_symbol
_atom_site_fract_x
_atom_site_fract_y
_atom_site_fract_z
_atom_site_occupancy
H1 H 0.000 0.000 0.000 1
Rh1 Rh 0.169 0.339 0.746 1
Rh2 Rh 0.169 0.831 0.746 1
Rh3 Rh 0.333 0.667 0.248 1
Rh4 Rh 0.339 0.169 0.254 1
Rh5 Rh 0.661 0.831 0.746 1
Rh6 Rh 0.667 0.333 0.752 1
Rh7 Rh 0.831 0.169 0.254 1
Rh8 Rh 0.831 0.661 0.254 1
```

Largest 10 diffraction maxima, in order of rising 2θ, 10 to 90 degrees two-theta:
- 2.376 Å, 37.9 deg, I 24
- 2.231 Å, 40.4 deg, I 27
- 2.097 Å, 43.1 deg, I 100
- 1.626 Å, 56.6 deg, I 15
- 1.372 Å, 68.4 deg, I 16
- 1.261 Å, 75.4 deg, I 18
- 1.188 Å, 80.9 deg, I 3
- 1.168 Å, 82.6 deg, I 19
- 1.148 Å, 84.4 deg, I 14
- 1.116 Å, 87.4 deg, I 3

---

Record 6
The following is a simulated X-ray diffraction stick pattern of HRhS2. It was derived from a cell relaxed with GGA-PBE, using Cu Kα, 1.54184 Å.
Kinematic intensities with the Lorentz-polarization factor, no thermal factor.

Atomic structure:
```
data_HRhS2
_chemical_formula_sum 'H2 Rh2 S4'
_space_group_name_H-M_alt 'P 1'
_space_group_IT_number 1
_cell_length_a 3.590
_cell_length_b 8.276
_cell_length_c 4.665
_cell_angle_alpha 90.00
_cell_angle_beta 90.00
_cell_angle_gamma 90.00
loop_
_space_group_symop_operation_xyz
'x,y,z'
loop_
_atom_site_label
_atom_site_type_symbol
_atom_site_fract_x
_atom_site_fract_y
_atom_site_fract_z
_atom_site_occupancy
H1 H 0.000 0.124 0.000 1
H2 H 0.500 0.876 0.500 1
Rh1 Rh 0.000 0.629 0.767 1
Rh2 Rh 0.500 0.371 0.267 1
S1 S 0.000 0.178 0.274 1
S2 S 0.000 0.561 0.272 1
S3 S 0.500 0.439 0.772 1
S4 S 0.500 0.822 0.774 1
```

Largest 10 diffraction maxima, in order of rising 2θ, 10 to 90 degrees two-theta:
- 8.276 Å, 10.7 deg, I 100
- 4.064 Å, 21.9 deg, I 44
- 3.294 Å, 27.1 deg, I 9
- 2.712 Å, 33.0 deg, I 42
- 2.691 Å, 33.3 deg, I 11
- 2.332 Å, 38.6 deg, I 16
- 2.245 Å, 40.2 deg, I 8
- 2.188 Å, 41.3 deg, I 10
- 1.981 Å, 45.8 deg, I 20
- 1.768 Å, 51.7 deg, I 21

---

> Which formula does entry 6 have?

HRhS2